Structure and simulated powder X-ray diffraction pattern of Th3As2Ir (a cell relaxed with GGA-PBE; Cu Kα).

Top 8 peaks for 10 to 80 degrees two-theta, in order of rising 2θ:
| hkl | 2θ/deg | I_rel |
| --- | --- | --- |
| 1 0 3 | 25.8 | 19 |
| 1 1 0 | 29.9 | 100 |
| 2 0 0 | 42.8 | 76 |
| 2 1 3 | 50.7 | 10 |
| 2 0 6 | 53.1 | 27 |
| 2 2 0 | 62.1 | 13 |
| 3 1 0 | 70.5 | 35 |
| 3 1 6 | 78.4 | 26 |

Atomic structure:
Unit cell a=4.228 b=4.228 c=17.911 alpha=90.00 beta=90.00 gamma=90.00
Space group I4/mmm (No. 139)
Symmetry-distinct sites (fractional):
Th 0.000 0.000 0.000 (multiplicity 2)
Th 0.000 0.000 0.339 (multiplicity 4)
As 0.000 0.000 0.171 (multiplicity 4)
Ir 0.000 0.000 0.500 (multiplicity 2)

Structure and simulated powder X-ray diffraction pattern of Th2ZnAs3Ir4 (a cell relaxed with GGA-PBE; Cu Kα).

Top 8 peaks for 10 to 80 degrees two-theta, in order of rising 2θ:
| hkl | 2θ/deg | I_rel |
| --- | --- | --- |
| 1 0 3 | 33.0 | 50 |
| 1 1 2 | 34.8 | 100 |
| 2 0 0 | 43.6 | 53 |
| 1 0 5 | 47.6 | 33 |
| 2 1 3 | 55.8 | 23 |
| 2 2 0 | 63.4 | 18 |
| 2 1 5 | 66.5 | 25 |
| 3 1 2 | 74.4 | 23 |

Atomic structure:
Unit cell a=4.148 b=4.148 c=10.774 alpha=90.00 beta=90.00 gamma=90.00
Space group P-4m2 (No. 115)
Symmetry-distinct sites (fractional):
Th 0.000 0.500 0.248 (multiplicity 2)
Zn 0.000 0.000 0.500 (multiplicity 1)
As 0.000 0.500 0.865 (multiplicity 2)
As 0.500 0.500 0.500 (multiplicity 1)
Ir 0.000 0.000 0.000 (multiplicity 1)
Ir 0.000 0.500 0.642 (multiplicity 2)
Ir 0.500 0.500 0.000 (multiplicity 1)